[1]
# Na4Hf3S8
Simulated X-ray diffraction stick pattern, λ = 1.5418 Å (Cu Kα). Input: the GGA-PBE geometry in Alexandria.
Neutral-atom scattering factors, no anomalous dispersion.

Main lines, in order of rising 2θ (5 to 70 degrees two-theta):
7.145 Å, rel. 100, (0 0 3)
6.249 Å, rel. 19, (1 0 1)
3.577 Å, rel. 14, (0 0 6)
3.336 Å, rel. 15, (1 1 3)
3.229 Å, rel. 41, (0 2 1)
2.789 Å, rel. 59, (0 2 4)
2.234 Å, rel. 29, (0 2 7)
2.072 Å, rel. 26, (2 0 8)
1.886 Å, rel. 23, (2 2 0)
1.824 Å, rel. 18, (2 2 3)

Crystal structure
Cell: 7.5440 7.5440 21.4352 Å, 90.00 90.00 120.00°
Space group R-3m (No. 166, hexagonal axes)
Asymmetric unit:
Na: 0.0000 0.0000 0.0000 (multiplicity 3)
Na: 0.0000 0.0000 0.1409 (multiplicity 6)
Na: 0.0000 0.0000 0.5000 (multiplicity 3)
Hf: 0.0000 0.5000 0.0000 (multiplicity 9)
S: 0.0000 0.0000 0.2672 (multiplicity 6)
S: 0.0231 0.5116 0.2658 (multiplicity 18)

***

[2]
# MnTcOs2
Simulated X-ray diffraction stick pattern, λ = 1.5418 Å (Cu Kα). Input: the GGA-PBE geometry in Alexandria.
Neutral-atom scattering factors, no anomalous dispersion.

Main lines, in order of rising 2θ (5 to 70 degrees two-theta):
4.390 Å, rel. 50, (1 0 0)
2.303 Å, rel. 30, (0 1 1)
2.206 Å, rel. 100, (1 1 -1)
2.200 Å, rel. 50, (0 0 2)
2.195 Å, rel. 49, (2 0 0)
1.907 Å, rel. 96, (1 1 1)
1.751 Å, rel. 9, (2 1 -1)
1.464 Å, rel. 7, (3 0 0)
1.350 Å, rel. 31, (0 2 0)
1.347 Å, rel. 20, (3 1 -1)

Crystal structure
Cell: 4.662 2.703 4.675 Å, 90.00 109.71 90.00°
Space group P2/m (No. 10)
Asymmetric unit:
Mn: 0.000 0.000 0.000 (multiplicity 1)
Tc: 0.000 0.500 0.500 (multiplicity 1)
Os: 0.500 0.000 0.500 (multiplicity 1)
Os: 0.500 0.500 0.000 (multiplicity 1)

***

[3]
# NiS6Br
Simulated X-ray diffraction stick pattern, λ = 1.5418 Å (Cu Kα). Input: the GGA-PBE geometry in Alexandria.
Neutral-atom scattering factors, no anomalous dispersion.

Main lines, in order of rising 2θ (5 to 70 degrees two-theta):
6.799 Å, rel. 100, (0 0 1)
5.755 Å, rel. 41, (0 1 0)
4.853 Å, rel. 34, (1 0 0)
4.493 Å, rel. 25, (0 1 1)
3.400 Å, rel. 92, (0 0 2)
3.364 Å, rel. 21, (1 1 -1)
2.877 Å, rel. 76, (0 2 0)
2.348 Å, rel. 47, (2 1 1)
2.149 Å, rel. 19, (0 2 -2)
1.870 Å, rel. 20, (2 1 -2)

Crystal structure
Cell: 4.967 5.873 6.840 Å, 86.39 84.31 78.76°
Space group P1 (No. 1)
Asymmetric unit:
Ni: 0.000 0.000 0.000 (multiplicity 1)
S: 0.131 0.065 0.480 (multiplicity 1)
S: 0.151 0.611 0.970 (multiplicity 1)
S: 0.656 0.458 0.303 (multiplicity 1)
S: 0.856 0.415 0.988 (multiplicity 1)
S: 0.892 0.951 0.318 (multiplicity 1)
S: 0.963 0.453 0.460 (multiplicity 1)
Br: 0.503 0.013 0.924 (multiplicity 1)

***

[4]
# MnTl3
Simulated X-ray diffraction stick pattern, λ = 1.5418 Å (Cu Kα). Input: the GGA-PBE geometry in Alexandria.
Neutral-atom scattering factors, no anomalous dispersion.

Main lines, in order of rising 2θ (5 to 70 degrees two-theta):
5.179 Å, rel. 23, (1 1 0)
3.180 Å, rel. 7, (1 0 1)
2.710 Å, rel. 100, (0 2 1)
2.590 Å, rel. 88, (2 2 0)
2.401 Å, rel. 7, (2 1 1)
1.872 Å, rel. 34, (4 0 1)
1.590 Å, rel. 20, (2 0 2)
1.517 Å, rel. 35, (2 4 1)
1.495 Å, rel. 17, (6 0 0)
1.355 Å, rel. 12, (0 4 2)

Crystal structure
Cell: 10.3586 10.3586 3.4002 Å, 90.00 90.00 120.00°
Space group R-3m (No. 166, hexagonal axes)
Asymmetric unit:
Mn: 0.0000 0.0000 0.0000 (multiplicity 3)
Tl: 0.0000 0.5000 0.0000 (multiplicity 9)